[1]
Diffraction record for In4Ag3Ge4Se16. The powder diffraction line list is simulated, not measured: it uses a DFT-relaxed cell (GGA-PBE, the Materials Project) and Cu Kα.
Kinematic intensities with the Lorentz-polarization factor, no thermal factor.

Largest 10 diffraction maxima, low angle first, 2θ from 5° to 70°:
- hkl 1 1 2, 17.13 deg, I = 12
- hkl 2 0 4, 26.85 deg, I = 100
- hkl 1 1 6, 28.45 deg, I = 12
- hkl 3 1 2, 35.27 deg, I = 16
- hkl 4 0 0, 43.81 deg, I = 23
- hkl 2 2 8, 44.93 deg, I = 45
- hkl 3 3 2, 47.37 deg, I = 6
- hkl 4 2 4, 52.14 deg, I = 26
- hkl 2 0 12, 54.08 deg, I = 15
- hkl 4 4 0, 63.69 deg, I = 6

Structure:
```
data_In4Ag3Ge4Se16
_chemical_formula_sum 'In8 Ag6 Ge8 Se32'
_space_group_name_H-M_alt 'I -4'
_space_group_IT_number 82
_space_group_name_Hall 'I -4'
_cell_length_a 8.2650
_cell_length_b 8.2650
_cell_length_c 22.3139
_cell_angle_alpha 90.00
_cell_angle_beta 90.00
_cell_angle_gamma 90.00
loop_
_atom_site_label
_atom_site_type_symbol
_atom_site_fract_x
_atom_site_fract_y
_atom_site_fract_z
_atom_site_occupancy
In1 In 0.2452 0.2497 0.1274 1
Ag1 Ag 0.0000 0.5000 0.9998 1
Ag2 Ag 0.0000 0.5000 0.7500 1
Ge1 Ge 0.0000 0.0000 0.0000 1
Ge2 Ge 0.0000 0.0000 0.2466 1
Ge3 Ge 0.0000 0.0000 0.5000 1
Se1 Se 0.0209 0.7521 0.1921 1
Se2 Se 0.0261 0.2348 0.4355 1
Se3 Se 0.0257 0.7672 0.6862 1
Se4 Se 0.0268 0.2338 0.9352 1
```


[2]
Diffraction record for LaAgGe. The powder diffraction line list is simulated, not measured: it uses a DFT-relaxed cell (GGA-PBE, the Materials Project) and Cu Kα.
Kinematic intensities with the Lorentz-polarization factor, no thermal factor.

Largest 10 diffraction maxima, low angle first, 2θ from 5° to 70°:
- hkl 0 0 2, 22.29 deg, I = 6
- hkl 1 0 1, 24.97 deg, I = 6
- hkl 1 0 2, 31.74 deg, I = 100
- hkl 1 1 0, 39.12 deg, I = 58
- hkl 1 0 3, 40.80 deg, I = 6
- hkl 0 0 4, 45.51 deg, I = 12
- hkl 2 0 2, 51.23 deg, I = 27
- hkl 1 1 4, 61.54 deg, I = 25
- hkl 1 0 5, 62.76 deg, I = 4
- hkl 2 1 2, 66.29 deg, I = 24

Structure:
```
data_LaAgGe
_chemical_formula_sum 'La2 Ag2 Ge2'
_space_group_name_H-M_alt 'P 63 m c'
_space_group_IT_number 186
_space_group_name_Hall 'P 6c -2c'
_cell_length_a 4.6050
_cell_length_b 4.6050
_cell_length_c 7.9721
_cell_angle_alpha 90.00
_cell_angle_beta 90.00
_cell_angle_gamma 120.00
loop_
_atom_site_label
_atom_site_type_symbol
_atom_site_fract_x
_atom_site_fract_y
_atom_site_fract_z
_atom_site_occupancy
La1 La 0.0000 0.0000 0.0000 1
Ag1 Ag 0.3333 0.6667 0.2635 1
Ge1 Ge 0.3333 0.6667 0.7154 1
```


[3]
Diffraction record for Li3Ag2Ge3. The powder diffraction line list is simulated, not measured: it uses a DFT-relaxed cell (GGA-PBE, the Materials Project) and Cu Kα.
Kinematic intensities with the Lorentz-polarization factor, no thermal factor.

Largest 10 diffraction maxima, low angle first, 2θ from 5° to 70°:
- hkl 1 1 0, 19.50 deg, I = 14
- hkl 1 1 1, 23.94 deg, I = 54
- hkl 2 1 1, 34.11 deg, I = 7
- hkl 2 2 0, 39.59 deg, I = 100
- hkl 3 1 0, 44.50 deg, I = 3
- hkl 3 1 1, 46.80 deg, I = 26
- hkl 3 2 1, 53.23 deg, I = 4
- hkl 4 0 0, 57.23 deg, I = 16
- hkl 4 1 1, 61.06 deg, I = 2
- hkl 3 3 1, 62.92 deg, I = 10

Structure:
```
data_Li3Ag2Ge3
_chemical_formula_sum 'Li6 Ag4 Ge6'
_space_group_name_H-M_alt 'P n -3 m'
_space_group_IT_number 224
_cell_length_a 6.4387
_cell_length_b 6.4387
_cell_length_c 6.4387
_cell_angle_alpha 90.00
_cell_angle_beta 90.00
_cell_angle_gamma 90.00
loop_
_space_group_symop_operation_xyz
'x,y,z'
'-x,-y,-z'
'-y,x+1/2,z+1/2'
'y,-x+1/2,-z+1/2'
'-x+1/2,-y+1/2,z'
'x+1/2,y+1/2,-z'
'y+1/2,-x,z+1/2'
'-y+1/2,x,-z+1/2'
'x,-y+1/2,-z+1/2'
'-x,y+1/2,z+1/2'
'-y,-x,-z'
'y,x,z'
'-x+1/2,y,-z+1/2'
'x+1/2,-y,z+1/2'
'y+1/2,x+1/2,-z'
'-y+1/2,-x+1/2,z'
'z,x,y'
'-z,-x,-y'
'z+1/2,-y,x+1/2'
'-z+1/2,y,-x+1/2'
'z,-x+1/2,-y+1/2'
'-z,x+1/2,y+1/2'
'z+1/2,y+1/2,-x'
'-z+1/2,-y+1/2,x'
'-z+1/2,x,-y+1/2'
'z+1/2,-x,y+1/2'
'-z,-y,-x'
'z,y,x'
'-z+1/2,-x+1/2,y'
'z+1/2,x+1/2,-y'
'-z,y+1/2,x+1/2'
'z,-y+1/2,-x+1/2'
'y,z,x'
'-y,-z,-x'
'x+1/2,z+1/2,-y'
'-x+1/2,-z+1/2,y'
'-y+1/2,z,-x+1/2'
'y+1/2,-z,x+1/2'
'-x,z+1/2,y+1/2'
'x,-z+1/2,-y+1/2'
'-y+1/2,-z+1/2,x'
'y+1/2,z+1/2,-x'
'-x,-z,-y'
'x,z,y'
'y,-z+1/2,-x+1/2'
'-y,z+1/2,x+1/2'
'x+1/2,-z,y+1/2'
'-x+1/2,z,-y+1/2'
loop_
_atom_site_label
_atom_site_type_symbol
_atom_site_fract_x
_atom_site_fract_y
_atom_site_fract_z
_atom_site_occupancy
Li1 Li 0.0000 0.0000 0.0000 1
Li2 Li 0.2500 0.2500 0.2500 1
Ag1 Ag 0.0000 0.0000 0.5000 1
Ge1 Ge 0.2500 0.2500 0.7500 1
```


[4]
Diffraction record for Li3Ag3Ge2. The powder diffraction line list is simulated, not measured: it uses a DFT-relaxed cell (GGA-PBE, the Materials Project) and Cu Kα.
Kinematic intensities with the Lorentz-polarization factor, no thermal factor.

Largest 10 diffraction maxima, low angle first, 2θ from 5° to 70°:
- hkl 0 0 1, 11.12 deg, I = 22
- hkl 1 0 0, 21.96 deg, I = 26
- hkl 0 0 2, 22.34 deg, I = 14
- hkl 1 0 1, 24.63 deg, I = 15
- hkl 1 1 0, 31.18 deg, I = 12
- hkl 0 1 2, 31.45 deg, I = 22
- hkl 1 1 2, 38.69 deg, I = 100
- hkl 0 2 0, 44.56 deg, I = 17
- hkl 2 0 0, 44.79 deg, I = 16
- hkl 0 0 4, 45.58 deg, I = 15

Structure:
```
data_Li3Ag3Ge2
_chemical_formula_sum 'Li3 Ag3 Ge2'
_space_group_name_H-M_alt 'P m m m'
_space_group_IT_number 47
_space_group_name_Hall '-P 2 2'
_cell_length_a 4.0472
_cell_length_b 4.0667
_cell_length_c 7.9604
_cell_angle_alpha 90.00
_cell_angle_beta 90.00
_cell_angle_gamma 90.00
loop_
_atom_site_label
_atom_site_type_symbol
_atom_site_fract_x
_atom_site_fract_y
_atom_site_fract_z
_atom_site_occupancy
Li1 Li 0.0000 0.0000 0.0000 1
Li2 Li 0.0000 0.5000 0.2514 1
Ag1 Ag 0.0000 0.0000 0.5000 1
Ag2 Ag 0.5000 0.5000 0.0000 1
Ag3 Ag 0.5000 0.5000 0.5000 1
Ge1 Ge 0.5000 0.0000 0.2494 1
```


[5]
Diffraction record for MgAg2Ge2O6. The powder diffraction line list is simulated, not measured: it uses a DFT-relaxed cell (GGA-PBE, the Materials Project) and Cu Kα.
Kinematic intensities with the Lorentz-polarization factor, no thermal factor.

Largest 10 diffraction maxima, low angle first, 2θ from 5° to 70°:
- hkl 1 0 -1, 17.50 deg, I = 47
- hkl 1 0 -2, 25.95 deg, I = 32
- hkl 2 0 0, 30.92 deg, I = 56
- hkl 1 0 2, 31.30 deg, I = 49
- hkl 1 1 0, 34.51 deg, I = 100
- hkl 0 0 3, 36.60 deg, I = 25
- hkl 1 0 -3, 36.79 deg, I = 34
- hkl 0 1 2, 39.47 deg, I = 36
- hkl 2 1 -1, 44.14 deg, I = 41
- hkl 2 1 2, 54.20 deg, I = 44

Structure:
```
data_MgAg2Ge2O6
_chemical_formula_sum 'Mg1 Ag2 Ge2 O6'
_space_group_name_H-M_alt 'P 1 2/m 1'
_space_group_IT_number 10
_space_group_name_Hall '-P 2y'
_cell_length_a 5.8999
_cell_length_b 2.9095
_cell_length_c 7.5185
_cell_angle_alpha 90.00
_cell_angle_beta 101.55
_cell_angle_gamma 90.00
loop_
_atom_site_label
_atom_site_type_symbol
_atom_site_fract_x
_atom_site_fract_y
_atom_site_fract_z
_atom_site_occupancy
Mg1 Mg 0.0000 0.0000 0.0000 1
Ag1 Ag 0.0753 0.5000 0.6856 1
Ge1 Ge 0.5000 0.0000 0.0000 1
Ge2 Ge 0.5000 0.0000 0.5000 1
O1 O 0.2587 0.5000 0.0131 1
O2 O 0.2949 0.5000 0.4264 1
O3 O 0.4021 0.0000 0.7499 1
```


[6]
Diffraction record for MgAg2Ge2O6. The powder diffraction line list is simulated, not measured: it uses a DFT-relaxed cell (GGA-PBE, the Materials Project) and Cu Kα.
Kinematic intensities with the Lorentz-polarization factor, no thermal factor.

Largest 10 diffraction maxima, low angle first, 2θ from 5° to 70°:
- hkl 0 1 1, 18.78 deg, I = 19
- hkl 0 2 1, 28.01 deg, I = 100
- hkl 0 1 2, 31.69 deg, I = 35
- hkl 1 0 1, 34.17 deg, I = 76
- hkl 1 2 0, 39.27 deg, I = 27
- hkl 1 1 2, 44.75 deg, I = 25
- hkl 0 1 3, 46.28 deg, I = 17
- hkl 0 4 0, 48.75 deg, I = 19
- hkl 1 2 2, 49.74 deg, I = 33
- hkl 1 4 1, 60.88 deg, I = 31

Structure:
```
data_MgAg2Ge2O6
_chemical_formula_sum 'Mg1 Ag2 Ge2 O6'
_space_group_name_H-M_alt 'P m m 2'
_space_group_IT_number 25
_space_group_name_Hall 'P 2 -2'
_cell_length_a 2.9067
_cell_length_b 7.4721
_cell_length_c 6.0986
_cell_angle_alpha 90.00
_cell_angle_beta 90.00
_cell_angle_gamma 90.00
loop_
_atom_site_label
_atom_site_type_symbol
_atom_site_fract_x
_atom_site_fract_y
_atom_site_fract_z
_atom_site_occupancy
Mg1 Mg 0.0000 0.0000 0.0000 1
Ag1 Ag 0.5000 0.0000 0.6146 1
Ag2 Ag 0.5000 0.5000 0.7898 1
Ge1 Ge 0.0000 0.2774 0.2612 1
O1 O 0.0000 0.0000 0.3273 1
O2 O 0.0000 0.5000 0.1340 1
O3 O 0.5000 0.2002 0.0357 1
O4 O 0.5000 0.3016 0.4550 1
```


[7]
Diffraction record for MgAg2Ge2O6. The powder diffraction line list is simulated, not measured: it uses a DFT-relaxed cell (GGA-PBE, the Materials Project) and Cu Kα.
Kinematic intensities with the Lorentz-polarization factor, no thermal factor.

Largest 10 diffraction maxima, low angle first, 2θ from 5° to 70°:
- hkl 0 2 0, 20.82 deg, I = 14
- hkl 0 2 1, 25.79 deg, I = 100
- hkl 0 0 2, 30.37 deg, I = 38
- hkl 1 0 1, 34.55 deg, I = 57
- hkl 0 3 1, 35.04 deg, I = 16
- hkl 1 2 0, 37.57 deg, I = 31
- hkl 0 4 1, 45.22 deg, I = 14
- hkl 1 2 2, 49.06 deg, I = 55
- hkl 0 2 3, 51.26 deg, I = 13
- hkl 1 0 3, 56.70 deg, I = 15

Structure:
```
data_MgAg2Ge2O6
_chemical_formula_sum 'Mg1 Ag2 Ge2 O6'
_space_group_name_H-M_alt 'P m m 2'
_space_group_IT_number 25
_space_group_name_Hall 'P 2 -2'
_cell_length_a 2.8923
_cell_length_b 8.5316
_cell_length_c 5.8854
_cell_angle_alpha 90.00
_cell_angle_beta 90.00
_cell_angle_gamma 90.00
loop_
_atom_site_label
_atom_site_type_symbol
_atom_site_fract_x
_atom_site_fract_y
_atom_site_fract_z
_atom_site_occupancy
Mg1 Mg 0.0000 0.0000 0.0000 1
Ag1 Ag 0.0000 0.0000 0.4916 1
Ag2 Ag 0.0000 0.5000 0.4594 1
Ge1 Ge 0.5000 0.3095 0.9722 1
O1 O 0.0000 0.2095 0.1521 1
O2 O 0.0000 0.3286 0.7709 1
O3 O 0.5000 0.0000 0.7991 1
O4 O 0.5000 0.5000 0.1202 1
```


[8]
Diffraction record for MgAg4Ge2O8. The powder diffraction line list is simulated, not measured: it uses a DFT-relaxed cell (GGA-PBE, the Materials Project) and Cu Kα.
Kinematic intensities with the Lorentz-polarization factor, no thermal factor.

Largest 10 diffraction maxima, low angle first, 2θ from 5° to 70°:
- hkl 0 1 0, 15.81 deg, I = 16
- hkl 1 0 2, 26.79 deg, I = 19
- hkl 1 -1 1, 27.99 deg, I = 54
- hkl 0 0 2, 28.65 deg, I = 63
- hkl 1 2 1, 29.71 deg, I = 76
- hkl 2 1 2, 32.47 deg, I = 100
- hkl 0 2 -1, 35.10 deg, I = 31
- hkl 1 2 -1, 36.16 deg, I = 19
- hkl 1 2 3, 46.77 deg, I = 36
- hkl 3 3 0, 57.22 deg, I = 18

Structure:
```
data_MgAg4Ge2O8
_chemical_formula_sum 'Mg1 Ag4 Ge2 O8'
_space_group_name_H-M_alt 'P 1'
_space_group_IT_number 1
_space_group_name_Hall 'P 1'
_cell_length_a 6.1647
_cell_length_b 6.2178
_cell_length_c 6.9437
_cell_angle_alpha 78.88
_cell_angle_beta 63.82
_cell_angle_gamma 64.38
loop_
_atom_site_label
_atom_site_type_symbol
_atom_site_fract_x
_atom_site_fract_y
_atom_site_fract_z
_atom_site_occupancy
Mg1 Mg 0.0000 0.0000 0.0000 1
Ag1 Ag 0.1065 0.5824 0.2504 1
Ag2 Ag 0.5347 0.7741 0.7119 1
Ag3 Ag 0.6263 0.4148 0.2501 1
Ag4 Ag 0.7498 0.2109 0.7103 1
Ge1 Ge 0.1284 0.5004 0.7329 1
Ge2 Ge 0.3740 0.9968 0.2506 1
O1 O 0.0704 0.2338 0.3868 1
O2 O 0.1578 0.6653 0.8980 1
O3 O 0.3088 0.8677 0.0816 1
O4 O 0.4445 0.2881 0.5784 1
O5 O 0.5413 0.7536 0.3862 1
O6 O 0.6094 0.1261 0.0861 1
O7 O 0.9364 0.3367 0.9030 1
O8 O 0.9625 0.7123 0.5793 1
```